The following is a theoretical powder X-ray diffraction pattern of CaTb12Er6. It was derived from the PBE geometry in Alexandria, using a wavelength of 1.5418 Å.
No peak broadening, texture or thermal motion is included.

Top 10 peaks for 2θ from 5° to 70°, in order of rising 2θ:
| two_theta | I_rel |
| --- | --- |
| 11.1 | 25.2 |
| 26.1 | 53.9 |
| 29.1 | 50.6 |
| 31.1 | 100.0 |
| 31.4 | 25.6 |
| 33.7 | 37.6 |
| 34.8 | 64.6 |
| 38.3 | 26.0 |
| 38.8 | 44.6 |
| 61.5 | 24.2 |

Structure:
Cell: 15.0770 15.0770 10.0837 Å, 90.00 90.00 120.00°
Space group R-3m (No. 166, hexagonal axes)
Inequivalent atoms, fractional coordinates:
1 Ca 0.0000 0.0000 0.0000
2 Tb 0.0000 0.3884 0.5000
3 Tb 0.0733 0.1466 0.2906
4 Er 0.0555 0.5277 0.2145


The following is a theoretical powder X-ray diffraction pattern of CaTbEr14. It was derived from the PBE geometry in Alexandria, using a wavelength of 1.5418 Å.
No peak broadening, texture or thermal motion is included.

Top 10 peaks for 2θ from 5° to 70°, in order of rising 2θ:
| two_theta | I_rel |
| --- | --- |
| 28.6 | 24.1 |
| 32.0 | 23.8 |
| 32.9 | 100.0 |
| 43.5 | 15.6 |
| 50.7 | 19.9 |
| 57.6 | 20.1 |
| 59.3 | 3.1 |
| 61.3 | 22.4 |
| 61.8 | 16.4 |
| 69.0 | 4.0 |

Structure:
Cell: 11.1842 7.1963 12.4703 Å, 90.00 90.00 90.00°
Space group Amm2 (No. 38)
Inequivalent atoms, fractional coordinates:
1 Ca 0.0000 0.0000 0.0000
2 Tb 0.0000 0.0000 0.4996
3 Er 0.0000 0.2493 0.2500
4 Er 0.2477 0.0000 0.3332
5 Er 0.2545 0.0000 0.8312
6 Er 0.2549 0.2470 0.5844
7 Er 0.5000 0.0000 0.9999
8 Er 0.5000 0.0000 0.5001
9 Er 0.5000 0.2500 0.2499


The following is a theoretical powder X-ray diffraction pattern of Ca4ErTe5. It was derived from the PBE geometry in Alexandria, using a wavelength of 1.5418 Å.
No peak broadening, texture or thermal motion is included.

Top 10 peaks for 2θ from 5° to 70°, in order of rising 2θ:
| two_theta | I_rel |
| --- | --- |
| 12.5 | 8.4 |
| 16.6 | 8.8 |
| 24.4 | 18.9 |
| 28.3 | 100.0 |
| 40.4 | 75.7 |
| 47.8 | 9.4 |
| 50.0 | 27.1 |
| 58.5 | 12.4 |
| 64.3 | 4.2 |
| 66.2 | 33.8 |

Structure:
Cell: 9.9886 9.9886 6.3086 Å, 90.00 90.00 90.00°
Space group I4/m (No. 87)
Inequivalent atoms, fractional coordinates:
1 Ca 0.0977 0.3010 0.0000
2 Er 0.0000 0.0000 0.5000
3 Te 0.0000 0.0000 0.0000
4 Te 0.0983 0.2934 0.5000


The following is a theoretical powder X-ray diffraction pattern of Ca2ErTe3. It was derived from the PBE geometry in Alexandria, using a wavelength of 1.5418 Å.
No peak broadening, texture or thermal motion is included.

Top 10 peaks for 2θ from 5° to 70°, in order of rising 2θ:
| two_theta | I_rel |
| --- | --- |
| 13.3 | 8.9 |
| 15.6 | 11.7 |
| 28.5 | 100.0 |
| 40.6 | 12.5 |
| 40.7 | 50.2 |
| 40.8 | 12.5 |
| 50.3 | 13.3 |
| 50.5 | 13.3 |
| 58.9 | 12.4 |
| 66.7 | 22.9 |

Structure:
Cell: 4.4206 6.2727 13.3383 Å, 90.00 90.00 90.00°
Space group Immm (No. 71)
Inequivalent atoms, fractional coordinates:
1 Ca 0.0000 0.0000 0.1686
2 Er 0.0000 0.0000 0.5000
3 Te 0.0000 0.5000 0.1613
4 Te 0.0000 0.5000 0.5000


The following is a theoretical powder X-ray diffraction pattern of Ca4Er3Te8. It was derived from the PBE geometry in Alexandria, using a wavelength of 1.5418 Å.
No peak broadening, texture or thermal motion is included.

Top 10 peaks for 2θ from 5° to 70°, in order of rising 2θ:
| two_theta | I_rel |
| --- | --- |
| 11.0 | 43.1 |
| 23.7 | 16.8 |
| 27.7 | 100.0 |
| 35.1 | 22.5 |
| 38.0 | 45.1 |
| 41.1 | 43.5 |
| 50.3 | 19.0 |
| 57.2 | 13.4 |
| 62.5 | 16.2 |
| 66.9 | 16.1 |

Structure:
Cell: 8.7842 8.7842 24.1918 Å, 90.00 90.00 120.00°
Space group R-3m (No. 166, hexagonal axes)
Inequivalent atoms, fractional coordinates:
1 Ca 0.0000 0.0000 0.0000
2 Ca 0.0000 0.0000 0.1441
3 Ca 0.0000 0.0000 0.5000
4 Er 0.0000 0.5000 0.0000
5 Te 0.0000 0.0000 0.2664
6 Te 0.0107 0.5053 0.2563


The following is a theoretical powder X-ray diffraction pattern of Ca4Y3ErTe8. It was derived from the PBE geometry in Alexandria, using a wavelength of 1.5418 Å.
No peak broadening, texture or thermal motion is included.

Top 10 peaks for 2θ from 5° to 70°, in order of rising 2θ:
| two_theta | I_rel |
| --- | --- |
| 12.1 | 8.3 |
| 24.8 | 8.0 |
| 28.6 | 100.0 |
| 40.5 | 38.2 |
| 41.1 | 36.7 |
| 49.8 | 6.9 |
| 50.8 | 19.6 |
| 59.1 | 12.3 |
| 66.5 | 17.0 |
| 67.4 | 16.5 |

Structure:
Cell: 8.7790 8.7790 21.9803 Å, 90.00 90.00 120.00°
Space group R-3m (No. 166, hexagonal axes)
Inequivalent atoms, fractional coordinates:
1 Ca 0.0000 0.0000 0.0000
2 Ca 0.0000 0.5000 0.0000
3 Y 0.0000 0.5000 0.5000
4 Er 0.0000 0.0000 0.5000
5 Te 0.0000 0.0000 0.2486
6 Te 0.0020 0.5010 0.2481


The following is a theoretical powder X-ray diffraction pattern of CaErTh. It was derived from the PBE geometry in Alexandria, using a wavelength of 1.5418 Å.
No peak broadening, texture or thermal motion is included.

Top 10 peaks for 2θ from 5° to 70°, in order of rising 2θ:
| two_theta | I_rel |
| --- | --- |
| 9.8 | 70.1 |
| 28.6 | 14.4 |
| 29.7 | 30.3 |
| 30.3 | 100.0 |
| 34.9 | 76.6 |
| 49.9 | 21.4 |
| 50.6 | 22.3 |
| 59.1 | 19.8 |
| 59.8 | 25.4 |
| 60.1 | 14.6 |

Structure:
Cell: 3.6093 3.6093 9.0172 Å, 90.00 90.00 120.00°
Space group P3m1 (No. 156)
Inequivalent atoms, fractional coordinates:
1 Ca 0.0000 0.0000 0.0000
2 Er 0.6667 0.3333 0.3489
3 Th 0.3333 0.6667 0.6550


The following is a theoretical powder X-ray diffraction pattern of CaEr2Th. It was derived from the PBE geometry in Alexandria, using a wavelength of 1.5418 Å.
No peak broadening, texture or thermal motion is included.

Top 10 peaks for 2θ from 5° to 70°, in order of rising 2θ:
| two_theta | I_rel |
| --- | --- |
| 7.5 | 100.0 |
| 29.1 | 40.7 |
| 30.3 | 32.6 |
| 31.4 | 85.3 |
| 33.8 | 53.5 |
| 38.5 | 33.2 |
| 50.7 | 25.8 |
| 52.8 | 21.2 |
| 60.2 | 28.1 |
| 65.2 | 17.9 |

Structure:
Cell: 3.5983 3.5983 35.4369 Å, 90.00 90.00 120.00°
Space group R3m (No. 160, hexagonal axes)
Inequivalent atoms, fractional coordinates:
1 Ca 0.0000 0.0000 0.0000
2 Er 0.0000 0.0000 0.5772
3 Er 0.0000 0.0000 0.7549
4 Th 0.0000 0.0000 0.1658


The following is a theoretical powder X-ray diffraction pattern of CaEr3Tl2. It was derived from the PBE geometry in Alexandria, using a wavelength of 1.5418 Å.
No peak broadening, texture or thermal motion is included.

Top 10 peaks for 2θ from 5° to 70°, in order of rising 2θ:
| two_theta | I_rel |
| --- | --- |
| 9.5 | 14.9 |
| 26.1 | 23.1 |
| 32.6 | 100.0 |
| 33.3 | 86.8 |
| 33.6 | 43.8 |
| 42.8 | 26.5 |
| 43.0 | 12.5 |
| 47.4 | 22.7 |
| 59.9 | 16.3 |
| 64.7 | 20.0 |

Structure:
Cell: 5.3372 9.3446 6.8258 Å, 90.00 90.00 90.00°
Space group Pmc2_1 (No. 26)
Inequivalent atoms, fractional coordinates:
1 Ca 0.0000 0.0208 0.0000
2 Er 0.0000 0.3339 0.7112
3 Er 0.5000 0.1727 0.2748
4 Er 0.5000 0.4817 0.9849
5 Tl 0.0000 0.3378 0.2351
6 Tl 0.5000 0.1643 0.7512


The following is a theoretical powder X-ray diffraction pattern of Ca5ErTl6. It was derived from the PBE geometry in Alexandria, using a wavelength of 1.5418 Å.
No peak broadening, texture or thermal motion is included.

Top 10 peaks for 2θ from 5° to 70°, in order of rising 2θ:
| two_theta | I_rel |
| --- | --- |
| 22.8 | 32.9 |
| 23.0 | 31.6 |
| 23.2 | 31.0 |
| 32.6 | 100.0 |
| 32.8 | 98.8 |
| 32.9 | 97.8 |
| 40.4 | 31.0 |
| 46.5 | 18.8 |
| 58.2 | 37.5 |
| 58.5 | 18.9 |

Structure:
Cell: 17.1324 7.8088 5.4443 Å, 90.00 108.04 90.00°
Space group C2/m (No. 12)
Inequivalent atoms, fractional coordinates:
1 Ca 0.0000 0.0000 0.0000
2 Ca 0.1651 0.0000 0.6649
3 Ca 0.1716 0.5000 0.6716
4 Er 0.0000 0.5000 0.0000
5 Tl 0.0000 0.2596 0.5000
6 Tl 0.1637 0.2560 0.1637


The following is a theoretical powder X-ray diffraction pattern of Ca3ErTl4. It was derived from the PBE geometry in Alexandria, using a wavelength of 1.5418 Å.
No peak broadening, texture or thermal motion is included.

Top 10 peaks for 2θ from 5° to 70°, in order of rising 2θ:
| two_theta | I_rel |
| --- | --- |
| 5.6 | 18.8 |
| 22.7 | 12.9 |
| 23.2 | 24.8 |
| 32.7 | 100.0 |
| 33.1 | 48.9 |
| 40.5 | 12.2 |
| 47.5 | 17.9 |
| 58.2 | 19.0 |
| 58.9 | 37.6 |
| 68.6 | 11.6 |

Structure:
Cell: 3.8265 3.8265 15.6642 Å, 90.00 90.00 90.00°
Space group P4/mmm (No. 123)
Inequivalent atoms, fractional coordinates:
1 Ca 0.0000 0.0000 0.0000
2 Ca 0.0000 0.0000 0.2530
3 Er 0.0000 0.0000 0.5000
4 Tl 0.5000 0.5000 0.1271
5 Tl 0.5000 0.5000 0.3803


The following is a theoretical powder X-ray diffraction pattern of Ca4ErTl15. It was derived from the PBE geometry in Alexandria, using a wavelength of 1.5418 Å.
No peak broadening, texture or thermal motion is included.

Top 10 peaks for 2θ from 5° to 70°, in order of rising 2θ:
| two_theta | I_rel |
| --- | --- |
| 18.3 | 11.1 |
| 26.0 | 9.9 |
| 32.0 | 100.0 |
| 37.0 | 16.7 |
| 37.2 | 33.7 |
| 53.5 | 23.5 |
| 53.6 | 11.9 |
| 63.6 | 13.7 |
| 63.8 | 28.2 |
| 67.0 | 12.1 |

Structure:
Cell: 4.8339 4.8339 24.2710 Å, 90.00 90.00 90.00°
Space group P4/mmm (No. 123)
Inequivalent atoms, fractional coordinates:
1 Ca 0.0000 0.0000 0.1015
2 Ca 0.0000 0.0000 0.3045
3 Er 0.0000 0.0000 0.5000
4 Tl 0.0000 0.5000 0.0000
5 Tl 0.0000 0.5000 0.2022
6 Tl 0.0000 0.5000 0.4033
7 Tl 0.5000 0.5000 0.1019
8 Tl 0.5000 0.5000 0.3016
9 Tl 0.5000 0.5000 0.5000


The following is a theoretical powder X-ray diffraction pattern of CaEr4Tl4. It was derived from the PBE geometry in Alexandria, using a wavelength of 1.5418 Å.
No peak broadening, texture or thermal motion is included.

Top 10 peaks for 2θ from 5° to 70°, in order of rising 2θ:
| two_theta | I_rel |
| --- | --- |
| 12.8 | 45.6 |
| 18.1 | 30.6 |
| 28.8 | 100.0 |
| 30.5 | 58.6 |
| 35.7 | 28.3 |
| 36.1 | 22.8 |
| 40.3 | 45.5 |
| 41.2 | 29.7 |
| 44.5 | 35.0 |
| 65.4 | 14.3 |

Structure:
Cell: 9.8013 9.8013 6.1530 Å, 90.00 90.00 90.00°
Space group P4_2/n (No. 86, origin choice 2)
Inequivalent atoms, fractional coordinates:
1 Ca 0.2500 0.2500 0.2500
2 Er 0.0864 0.6489 0.1416
3 Tl 0.0353 0.6156 0.6473